No. 1
Diffraction record for U2AgPbO8. The XRD peak list is theoretical, not measured: it uses a cell relaxed with GGA-PBE and Cu Kα, 1.54184 Å.
Neutral-atom scattering factors, no anomalous dispersion.

Crystal structure
```
12
Lattice="-2.748 2.748 5.343 2.748 -2.748 5.343 2.748 2.748 -5.343" Properties=species:S:1:pos:R:3 pbc="T T T"
U 0.000 0.000 0.000
U 0.000 2.748 2.672
Ag 0.000 0.000 5.343
Pb 2.748 0.000 2.672
O 4.041 1.188 -1.501
O 1.268 1.208 -1.182
O 1.540 -1.480 6.526
O 1.188 1.455 1.501
O -1.293 1.560 3.843
O 1.480 1.540 4.161
O 1.560 1.293 6.844
O 1.208 4.228 1.182
```

Top 10 peaks for 10 to 90 degrees two-theta, in order of falling intensity:
| two_theta | intensity |
| --- | --- |
| 28.4 | 100 |
| 47.5 | 32 |
| 55.6 | 31 |
| 32.6 | 24 |
| 46.7 | 17 |
| 56.9 | 15 |
| 76.6 | 13 |
| 33.5 | 11 |
| 87.3 | 11 |
| 58.8 | 11 |


No. 2
Diffraction record for NdSmP2. The XRD peak list is theoretical, not measured: it uses a cell relaxed with GGA-PBE and Cu Kα, 1.54184 Å.
Neutral-atom scattering factors, no anomalous dispersion.

Crystal structure
```
16
Lattice="5.849 0.000 0.000 0.000 5.849 0.000 0.000 0.000 11.708" Properties=species:S:1:pos:R:3 pbc="T T T"
Nd 0.000 1.462 4.391
Nd 0.000 4.387 7.318
Nd 2.925 1.462 1.464
Nd 2.925 4.387 10.245
Sm 0.000 1.462 10.245
Sm 0.000 4.387 1.464
Sm 2.925 1.462 7.318
Sm 2.925 4.387 4.391
P 0.000 1.462 1.447
P 0.000 1.462 7.334
P 0.000 4.387 4.374
P 0.000 4.387 10.262
P 2.925 1.462 4.407
P 2.925 1.462 10.228
P 2.925 4.387 1.480
P 2.925 4.387 7.301
```

Top 10 peaks for 10 to 90 degrees two-theta, in order of falling intensity:
| two_theta | intensity |
| --- | --- |
| 30.6 | 100 |
| 26.4 | 81 |
| 43.8 | 73 |
| 51.8 | 40 |
| 72.2 | 33 |
| 54.3 | 26 |
| 80.4 | 25 |
| 70.1 | 16 |
| 86.4 | 12 |
| 63.6 | 12 |


Please write out number 2 again, unchanged.
Diffraction record for NdSmP2. The XRD peak list is theoretical, not measured: it uses a cell relaxed with GGA-PBE and Cu Kα, 1.54184 Å.
Neutral-atom scattering factors, no anomalous dispersion.

Crystal structure
```
16
Lattice="5.849 0.000 0.000 0.000 5.849 0.000 0.000 0.000 11.708" Properties=species:S:1:pos:R:3 pbc="T T T"
Nd 0.000 1.462 4.391
Nd 0.000 4.387 7.318
Nd 2.925 1.462 1.464
Nd 2.925 4.387 10.245
Sm 0.000 1.462 10.245
Sm 0.000 4.387 1.464
Sm 2.925 1.462 7.318
Sm 2.925 4.387 4.391
P 0.000 1.462 1.447
P 0.000 1.462 7.334
P 0.000 4.387 4.374
P 0.000 4.387 10.262
P 2.925 1.462 4.407
P 2.925 1.462 10.228
P 2.925 4.387 1.480
P 2.925 4.387 7.301
```

Top 10 peaks for 10 to 90 degrees two-theta, in order of falling intensity:
| two_theta | intensity |
| --- | --- |
| 30.6 | 100 |
| 26.4 | 81 |
| 43.8 | 73 |
| 51.8 | 40 |
| 72.2 | 33 |
| 54.3 | 26 |
| 80.4 | 25 |
| 70.1 | 16 |
| 86.4 | 12 |
| 63.6 | 12 |